No. 1
Computed powder XRD pattern of YEr2In9 for copper Kα, from a crystal structure in Alexandria, relaxed with PBE.
Kinematic intensities with the Lorentz-polarization factor, no thermal factor.

Crystal structure
Cell lengths 4.6295, 4.6295, 13.8819 Å; angles 90.00, 90.00, 90.00 degrees
Sites, in units of the cell vectors:
Y (0.0000, 0.0000, 0.0000)
Er (0.0000, 0.0000, 0.3337)
Er (0.0000, 0.0000, 0.6663)
In (0.0000, 0.5000, 0.1680)
In (0.0000, 0.5000, 0.5000)
In (0.0000, 0.5000, 0.8320)
In (0.5000, 0.0000, 0.1680)
In (0.5000, 0.0000, 0.5000)
In (0.5000, 0.0000, 0.8320)
In (0.5000, 0.5000, 0.0000)
In (0.5000, 0.5000, 0.3335)
In (0.5000, 0.5000, 0.6665)

Peak list (8 most intense, 5° ≤ 2θ ≤ 70°, in order of rising 2θ)
2θ (°), Rel. int.
6.37, 3
12.75, 1
19.17, 1
20.22, 1
33.53, 100
38.91, 50
56.21, 33
67.06, 39

No. 2
Computed powder XRD pattern of Nd2YGa4 for copper Kα, from a crystal structure in Alexandria, relaxed with PBE.
Kinematic intensities with the Lorentz-polarization factor, no thermal factor.

Crystal structure
Cell lengths 9.8552, 9.8552, 9.8552 Å; angles 155.43, 154.61, 35.63 degrees
Sites, in units of the cell vectors:
Nd (0.1843, 0.1843, 0.0000)
Nd (0.8157, 0.8157, 0.0000)
Y (0.0000, 0.5000, 0.5000)
Ga (0.3594, 0.3594, 0.0000)
Ga (0.4351, 0.9351, 0.5000)
Ga (0.5649, 0.0649, 0.5000)
Ga (0.6406, 0.6406, 0.0000)

Peak list (8 most intense, 5° ≤ 2θ ≤ 70°, in order of rising 2θ)
2θ (°), Rel. int.
31.17, 100
31.54, 58
35.40, 24
39.91, 30
41.66, 58
43.13, 27
54.40, 24
59.09, 21

No. 3
Computed powder XRD pattern of Rb2H7Os for copper Kα, from a crystal structure in Alexandria, relaxed with PBE.
Kinematic intensities with the Lorentz-polarization factor, no thermal factor.

Crystal structure
Cell lengths 7.1232, 7.1232, 10.2439 Å; angles 123.84, 123.84, 45.07 degrees
Sites, in units of the cell vectors:
Rb (0.1386, 0.1785, 0.0667)
Rb (0.1785, 0.1386, 0.5667)
Rb (0.8215, 0.8614, 0.4333)
Rb (0.8614, 0.8215, 0.9333)
H (0.1473, 0.6903, 0.2491)
H (0.2234, 0.7766, 0.7500)
H (0.3046, 0.4392, 0.5685)
H (0.3097, 0.8527, 0.2509)
H (0.3462, 0.5025, 0.8231)
H (0.4392, 0.3046, 0.0685)
H (0.4975, 0.6538, 0.6769)
H (0.5025, 0.3462, 0.3231)
H (0.5608, 0.6954, 0.9315)
H (0.6538, 0.4975, 0.1769)
H (0.6903, 0.1473, 0.7491)
H (0.6954, 0.5608, 0.4315)
H (0.7766, 0.2234, 0.2500)
H (0.8527, 0.3097, 0.7509)
Os (0.4730, 0.5270, 0.2500)
Os (0.5270, 0.4730, 0.7500)

Peak list (8 most intense, 5° ≤ 2θ ≤ 70°, in order of rising 2θ)
2θ (°), Rel. int.
24.28, 100
27.14, 39
30.34, 56
32.80, 22
35.03, 20
36.32, 17
42.27, 24
43.08, 21

No. 4
Computed powder XRD pattern of Y3HoNi8 for copper Kα, from a crystal structure in Alexandria, relaxed with PBE.
Kinematic intensities with the Lorentz-polarization factor, no thermal factor.

Crystal structure
Cell lengths 8.8054, 8.8054, 8.8054 Å; angles 33.48, 33.48, 33.48 degrees
Sites, in units of the cell vectors:
Y (0.0000, 0.0000, 0.0000)
Y (0.1250, 0.1250, 0.1250)
Y (0.6246, 0.6246, 0.6246)
Ho (0.4998, 0.4998, 0.4998)
Ni (0.0621, 0.0621, 0.5621)
Ni (0.0621, 0.5621, 0.0621)
Ni (0.0634, 0.5624, 0.5624)
Ni (0.3125, 0.3125, 0.3125)
Ni (0.5621, 0.0621, 0.0621)
Ni (0.5624, 0.0634, 0.5624)
Ni (0.5624, 0.5624, 0.0634)
Ni (0.8126, 0.8126, 0.8126)

Peak list (8 most intense, 5° ≤ 2θ ≤ 70°, in order of rising 2θ)
2θ (°), Rel. int.
35.36, 46
41.73, 100
43.60, 6
43.70, 19
63.38, 4
63.51, 12
67.76, 7
67.86, 22

No. 5
Computed powder XRD pattern of Pr8Al2Au for copper Kα, from a crystal structure in Alexandria, relaxed with PBE.
Kinematic intensities with the Lorentz-polarization factor, no thermal factor.

Crystal structure
Cell lengths 9.6626, 9.6626, 9.6626 Å; angles 147.57, 135.76, 55.92 degrees
Sites, in units of the cell vectors:
Pr (0.1282, 0.3623, 0.7658)
Pr (0.1966, 0.1966, 0.0000)
Pr (0.2621, 0.0000, 0.2621)
Pr (0.4035, 0.6377, 0.7658)
Pr (0.5965, 0.3623, 0.2342)
Pr (0.7379, 0.0000, 0.7379)
Pr (0.8034, 0.8034, 0.0000)
Pr (0.8718, 0.6377, 0.2342)
Al (0.3145, 0.8145, 0.5000)
Al (0.6855, 0.1855, 0.5000)
Au (0.0000, 0.5000, 0.5000)

Peak list (8 most intense, 5° ≤ 2θ ≤ 70°, in order of rising 2θ)
2θ (°), Rel. int.
13.23, 13
23.01, 29
31.00, 16
31.45, 16
33.20, 32
33.62, 100
46.38, 11
59.59, 19

No. 6
Computed powder XRD pattern of ScTlAg for copper Kα, from a crystal structure in Alexandria, relaxed with PBE.
Kinematic intensities with the Lorentz-polarization factor, no thermal factor.

Crystal structure
Cell lengths 4.8917, 4.8917, 6.2627 Å; angles 90.00, 90.00, 120.00 degrees
Sites, in units of the cell vectors:
Sc (0.3333, 0.6667, 0.2500)
Sc (0.6667, 0.3333, 0.7500)
Tl (0.0000, 0.0000, 0.0000)
Tl (0.0000, 0.0000, 0.5000)
Ag (0.3333, 0.6667, 0.7500)
Ag (0.6667, 0.3333, 0.2500)

Peak list (8 most intense, 5° ≤ 2θ ≤ 70°, in order of rising 2θ)
2θ (°), Rel. int.
20.97, 34
25.38, 11
35.65, 100
36.75, 76
52.13, 34
59.00, 6
65.47, 34
66.18, 13

No. 7
Computed powder XRD pattern of CaNdY for copper Kα, from a crystal structure in Alexandria, relaxed with PBE.
Kinematic intensities with the Lorentz-polarization factor, no thermal factor.

Crystal structure
Cell lengths 3.6813, 3.6813, 9.1795 Å; angles 90.00, 90.00, 120.00 degrees
Sites, in units of the cell vectors:
Ca (0.0000, 0.0000, 0.0000)
Nd (0.6667, 0.3333, 0.3521)
Y (0.3333, 0.6667, 0.6591)

Peak list (8 most intense, 5° ≤ 2θ ≤ 70°, in order of rising 2θ)
2θ (°), Rel. int.
9.64, 51
29.19, 31
29.66, 100
34.25, 73
48.90, 22
49.52, 22
57.97, 16
58.52, 25

No. 8
Computed powder XRD pattern of YbTi2CdO6F for copper Kα, from a crystal structure in Alexandria, relaxed with PBE.
Kinematic intensities with the Lorentz-polarization factor, no thermal factor.

Crystal structure
Cell lengths 7.2292, 7.2292, 7.2292 Å; angles 120.92, 118.60, 90.43 degrees
Sites, in units of the cell vectors:
Yb (0.0000, 0.0000, 0.0000)
Yb (0.5000, 0.0000, 0.5000)
Ti (0.0000, 0.5000, 0.5000)
Ti (0.5000, 0.0000, 0.0000)
Ti (0.5000, 0.5000, 0.0000)
Ti (0.5000, 0.5000, 0.5000)
Cd (0.0000, 0.0000, 0.5000)
Cd (0.0000, 0.5000, 0.0000)
O (0.1679, 0.4179, 0.7500)
O (0.1749, 0.4172, 0.3466)
O (0.1749, 0.8284, 0.7577)
O (0.4189, 0.1689, 0.2500)
O (0.4294, 0.1716, 0.8466)
O (0.4294, 0.5828, 0.2577)
O (0.5706, 0.4172, 0.7423)
O (0.5706, 0.8284, 0.1534)
O (0.5811, 0.8311, 0.7500)
O (0.8251, 0.1716, 0.2423)
O (0.8251, 0.5828, 0.6534)
O (0.8321, 0.5821, 0.2500)
F (0.1310, 0.8810, 0.2500)
F (0.8690, 0.1190, 0.7500)

Peak list (8 most intense, 5° ≤ 2θ ≤ 70°, in order of rising 2θ)
2θ (°), Rel. int.
15.17, 44
29.90, 100
30.61, 94
35.00, 36
38.17, 19
50.52, 63
59.23, 27
60.45, 38

No. 9
Computed powder XRD pattern of Li2CdIn9 for copper Kα, from a crystal structure in Alexandria, relaxed with PBE.
Kinematic intensities with the Lorentz-polarization factor, no thermal factor.

Crystal structure
Cell lengths 4.6235, 4.6235, 13.8982 Å; angles 90.00, 90.00, 90.00 degrees
Sites, in units of the cell vectors:
Li (0.0000, 0.0000, 0.1571)
Li (0.0000, 0.0000, 0.8429)
Cd (0.0000, 0.0000, 0.5000)
In (0.0000, 0.5000, 0.0000)
In (0.0000, 0.5000, 0.3255)
In (0.0000, 0.5000, 0.6745)
In (0.5000, 0.0000, 0.0000)
In (0.5000, 0.0000, 0.3255)
In (0.5000, 0.0000, 0.6745)
In (0.5000, 0.5000, 0.1616)
In (0.5000, 0.5000, 0.5000)
In (0.5000, 0.5000, 0.8384)

Peak list (8 most intense, 5° ≤ 2θ ≤ 70°, in order of rising 2θ)
2θ (°), Rel. int.
6.36, 5
19.18, 11
27.26, 10
33.55, 100
38.93, 49
56.24, 32
67.02, 12
67.13, 25

No. 10
Computed powder XRD pattern of BaCr4 for copper Kα, from a crystal structure in Alexandria, relaxed with PBE.
Kinematic intensities with the Lorentz-polarization factor, no thermal factor.

Crystal structure
Cell lengths 6.5483, 6.5483, 6.5483 Å; angles 141.92, 141.92, 54.94 degrees
Sites, in units of the cell vectors:
Ba (0.0000, 0.0000, 0.0000)
Cr (0.2500, 0.7500, 0.5000)
Cr (0.3537, 0.3537, 0.0000)
Cr (0.6463, 0.6463, 0.0000)
Cr (0.7500, 0.2500, 0.5000)

Peak list (8 most intense, 5° ≤ 2θ ≤ 70°, in order of rising 2θ)
2θ (°), Rel. int.
22.17, 18
29.57, 18
31.17, 100
33.43, 68
42.31, 47
53.48, 41
56.44, 31
61.38, 14

No. 11
Computed powder XRD pattern of Pm5TmAl3 for copper Kα, from a crystal structure in Alexandria, relaxed with PBE.
Kinematic intensities with the Lorentz-polarization factor, no thermal factor.

Crystal structure
Cell lengths 9.2339, 9.2339, 6.7684 Å; angles 90.00, 90.00, 120.00 degrees
Sites, in units of the cell vectors:
Pm (0.0000, 0.3346, 0.2500)
Pm (0.0000, 0.6654, 0.7500)
Pm (0.3333, 0.6667, 0.0000)
Pm (0.3333, 0.6667, 0.5000)
Pm (0.3346, 0.0000, 0.2500)
Pm (0.3346, 0.3346, 0.7500)
Pm (0.6654, 0.0000, 0.7500)
Pm (0.6654, 0.6654, 0.2500)
Pm (0.6667, 0.3333, 0.0000)
Pm (0.6667, 0.3333, 0.5000)
Tm (0.0000, 0.0000, 0.0000)
Tm (0.0000, 0.0000, 0.5000)
Al (0.0000, 0.3272, 0.7500)
Al (0.0000, 0.6728, 0.2500)
Al (0.3272, 0.0000, 0.7500)
Al (0.3272, 0.3272, 0.2500)
Al (0.6728, 0.0000, 0.2500)
Al (0.6728, 0.6728, 0.7500)

Peak list (8 most intense, 5° ≤ 2θ ≤ 70°, in order of rising 2θ)
2θ (°), Rel. int.
23.32, 44
32.81, 100
33.62, 87
47.69, 35
54.25, 16
59.61, 36
60.12, 16
65.32, 25

No. 12
Computed powder XRD pattern of POsPb2 for copper Kα, from a crystal structure in Alexandria, relaxed with PBE.
Kinematic intensities with the Lorentz-polarization factor, no thermal factor.

Crystal structure
Cell lengths 7.5378, 7.5378, 7.5378 Å; angles 30.61, 30.61, 30.61 degrees
Sites, in units of the cell vectors:
P (0.0000, 0.0000, 0.0000)
Os (0.3338, 0.3338, 0.3338)
Pb (0.5713, 0.5713, 0.5713)
Pb (0.7625, 0.7625, 0.7625)

Peak list (8 most intense, 5° ≤ 2θ ≤ 70°, in order of rising 2θ)
2θ (°), Rel. int.
12.33, 20
26.18, 45
30.80, 80
33.29, 100
39.25, 25
45.59, 58
57.61, 21
60.51, 30

No. 13
Computed powder XRD pattern of BaPr4Hg4 for copper Kα, from a crystal structure in Alexandria, relaxed with PBE.
Kinematic intensities with the Lorentz-polarization factor, no thermal factor.

Crystal structure
Cell lengths 10.3201, 10.3201, 5.6186 Å; angles 90.00, 90.00, 90.00 degrees
Sites, in units of the cell vectors:
Ba (0.2500, 0.2500, 0.2500)
Ba (0.7500, 0.7500, 0.7500)
Pr (0.1054, 0.8507, 0.7462)
Pr (0.1493, 0.6054, 0.2462)
Pr (0.3507, 0.8946, 0.2462)
Pr (0.3946, 0.6493, 0.7462)
Pr (0.6054, 0.3507, 0.2538)
Pr (0.6493, 0.1054, 0.7538)
Pr (0.8507, 0.3946, 0.7538)
Pr (0.8946, 0.1493, 0.2538)
Hg (0.0478, 0.1546, 0.7536)
Hg (0.1546, 0.4522, 0.7464)
Hg (0.3454, 0.0478, 0.7464)
Hg (0.4522, 0.3454, 0.7536)
Hg (0.5478, 0.6546, 0.2464)
Hg (0.6546, 0.9522, 0.2536)
Hg (0.8454, 0.5478, 0.2536)
Hg (0.9522, 0.8454, 0.2464)

Peak list (8 most intense, 5° ≤ 2θ ≤ 70°, in order of rising 2θ)
2θ (°), Rel. int.
17.98, 23
24.97, 28
27.33, 57
30.47, 48
31.85, 49
35.19, 100
42.46, 35
58.93, 23